Starting from a cell relaxed with PBE, the powder X-ray diffraction pattern of NdDyOs4 was computed for Cu Kα, 1.54184 Å.
No peak broadening, texture or thermal motion is included.

The 10 most intense peaks (10 to 80 degrees two-theta), sorted by position:
Position (°2θ)  I_rel
20.13  13
33.17  21
39.11  100
40.93  47
47.62  8
52.20  3
59.26  8
63.26  33
69.63  30
79.33  3

Crystal structure
```
6
Lattice="0.0000 3.8193 3.8193 3.8193 0.0000 3.8193 3.8193 3.8193 0.0000" Properties=species:S:1:pos:R:3 pbc="T T T"
Nd 0.0000 0.0000 0.0000
Dy 5.7289 5.7289 5.7289
Os 2.8659 2.8659 2.8659
Os 4.7727 4.7727 2.8659
Os 4.7727 2.8659 4.7727
Os 2.8659 4.7727 4.7727
```

***

Starting from a cell relaxed with PBE, the powder X-ray diffraction pattern of Te4AsRu was computed for Cu Kα, 1.54184 Å.
No peak broadening, texture or thermal motion is included.

The 10 most intense peaks (10 to 80 degrees two-theta), sorted by position:
Position (°2θ)  I_rel
17.61  18
28.95  18
34.08  100
35.65  51
41.40  10
51.30  7
54.66  34
59.98  31
70.82  12
71.76  19

Crystal structure
```
6
Lattice="0.0000 4.3624 4.3624 4.3624 0.0000 4.3624 4.3624 4.3624 0.0000" Properties=species:S:1:pos:R:3 pbc="T T T"
Te 1.0897 1.0897 1.0897
Te 3.2727 3.2727 1.0897
Te 3.2727 1.0897 3.2727
Te 1.0897 3.2727 3.2727
As 6.5436 6.5436 6.5436
Ru 4.3624 4.3624 4.3624
```

***

Starting from a cell relaxed with PBE, the powder X-ray diffraction pattern of BaLi2Al2Ge2 was computed for Cu Kα, 1.54184 Å.
No peak broadening, texture or thermal motion is included.

The 10 most intense peaks (10 to 80 degrees two-theta), sorted by position:
Position (°2θ)  I_rel
23.66  12
27.04  100
28.88  19
33.35  21
35.89  33
41.17  47
49.95  18
51.92  13
59.27  16
66.65  15

Crystal structure
```
14
Lattice="7.5901 0.0000 0.0000 0.0000 4.3887 0.0000 -2.5383 0.0000 8.8682" Properties=species:S:1:pos:R:3 pbc="T T T"
Ba 0.0000 0.0000 0.0000
Ba 3.7951 2.1944 0.0000
Li -0.0047 0.0000 3.9456
Li 1.2614 2.1944 4.9226
Li 3.7904 2.1944 3.9456
Li 5.0565 0.0000 4.9226
Al -1.2715 2.1944 5.8335
Al 2.5282 0.0000 3.0347
Al 2.5236 0.0000 5.8335
Al 6.3233 2.1944 3.0347
Ge -0.0079 0.0000 6.6372
Ge 1.2646 2.1944 2.2309
Ge 3.7872 2.1944 6.6372
Ge 5.0597 0.0000 2.2309
```